Entry 1:
Starting from DFT lattice parameters and positions (GGA-PBE), the powder diffractogram of PrCuBi was calculated for Cu Kα (λ = 1.5418 Å).
No peak broadening, texture or thermal motion is included.

Principal peaks in the range 10° ≤ 2θ ≤ 90°, low angle first:
| d (Å) | 2theta | I (rel.) |
| --- | --- | --- |
| 4.288 | 20.72 | 21 |
| 3.405 | 26.17 | 14 |
| 3.387 | 26.31 | 24 |
| 2.929 | 30.52 | 100 |
| 2.914 | 30.68 | 21 |
| 2.577 | 34.81 | 28 |
| 2.565 | 34.99 | 42 |
| 2.228 | 40.49 | 48 |
| 2.011 | 45.08 | 22 |
| 2.003 | 45.27 | 14 |
| 1.687 | 54.38 | 18 |
| 1.388 | 67.49 | 22 |

Crystal structure
```
PrCuBi
1.0
6.292 0.000 0.000
0.000 6.310 0.000
-3.088 0.000 7.870
Pr Cu Bi
4 4 4
direct
0.000 0.129 0.000
0.000 0.871 0.500
0.500 0.371 0.500
0.500 0.629 0.000
0.465 0.174 0.838
0.465 0.826 0.338
0.965 0.326 0.338
0.965 0.674 0.838
0.078 0.370 0.669
0.078 0.630 0.169
0.578 0.130 0.169
0.578 0.870 0.669
```


Entry 2:
Starting from DFT lattice parameters and positions (GGA-PBE), the powder diffractogram of Pr2CuBi4 was calculated for Cu Kα (λ = 1.5418 Å).
No peak broadening, texture or thermal motion is included.

Principal peaks in the range 10° ≤ 2θ ≤ 90°, low angle first:
| d (Å) | 2theta | I (rel.) |
| --- | --- | --- |
| 3.354 | 26.57 | 27 |
| 3.261 | 27.35 | 42 |
| 3.091 | 28.88 | 76 |
| 2.712 | 33.03 | 100 |
| 2.662 | 33.67 | 25 |
| 2.304 | 39.10 | 62 |
| 1.956 | 46.42 | 20 |
| 1.882 | 48.37 | 32 |
| 1.801 | 50.68 | 17 |
| 1.629 | 56.48 | 23 |
| 1.458 | 63.87 | 19 |
| 1.396 | 67.02 | 27 |

Crystal structure
```
Pr2CuBi4
1.0
4.607 0.000 0.000
0.000 4.607 0.000
0.000 0.000 9.785
Pr Cu Bi
2 1 4
direct
0.000 0.500 0.231
0.500 0.000 0.769
0.500 0.500 0.000
0.000 0.000 0.500
0.000 0.500 0.855
0.500 0.000 0.145
0.500 0.500 0.500
```


Entry 3:
Starting from DFT lattice parameters and positions (GGA-PBE), the powder diffractogram of Pr5Cu2Bi was calculated for Cu Kα (λ = 1.5418 Å).
No peak broadening, texture or thermal motion is included.

Principal peaks in the range 10° ≤ 2θ ≤ 90°, low angle first:
| d (Å) | 2theta | I (rel.) |
| --- | --- | --- |
| 3.594 | 24.77 | 23 |
| 2.950 | 30.30 | 19 |
| 2.913 | 30.69 | 47 |
| 2.863 | 31.24 | 100 |
| 2.638 | 33.98 | 91 |
| 2.612 | 34.34 | 41 |
| 1.865 | 48.82 | 16 |
| 1.770 | 51.62 | 20 |
| 1.696 | 54.08 | 24 |
| 1.475 | 63.01 | 16 |
| 1.464 | 63.57 | 19 |
| 1.414 | 66.08 | 20 |

Crystal structure
```
Pr5Cu2Bi
1.0
-4.171 4.171 6.699
4.171 -4.171 6.699
4.171 4.171 -6.699
Pr Cu Bi
10 4 2
direct
0.000 0.000 0.000
0.011 0.511 0.803
0.208 0.011 0.500
0.292 0.792 0.803
0.489 0.292 0.500
0.500 0.500 0.000
0.511 0.708 0.500
0.708 0.208 0.197
0.792 0.989 0.500
0.989 0.489 0.197
0.135 0.365 0.500
0.365 0.865 0.231
0.635 0.135 0.769
0.865 0.635 0.500
0.250 0.250 0.000
0.750 0.750 0.000
```


Entry 4:
Starting from DFT lattice parameters and positions (GGA-PBE), the powder diffractogram of Pr2CuBi was calculated for Cu Kα (λ = 1.5418 Å).
No peak broadening, texture or thermal motion is included.

Principal peaks in the range 10° ≤ 2θ ≤ 90°, low angle first:
| d (Å) | 2theta | I (rel.) |
| --- | --- | --- |
| 7.161 | 12.36 | 9 |
| 3.462 | 25.74 | 17 |
| 2.796 | 32.01 | 59 |
| 2.654 | 33.77 | 100 |
| 1.977 | 45.90 | 22 |
| 1.790 | 51.02 | 7 |
| 1.586 | 58.18 | 42 |
| 1.508 | 61.51 | 17 |
| 1.398 | 66.93 | 7 |
| 1.327 | 71.03 | 11 |
| 1.250 | 76.13 | 10 |
| 1.237 | 77.11 | 9 |

Crystal structure
```
Pr2CuBi
1.0
3.954 0.000 0.000
0.000 3.954 0.000
0.000 0.000 7.161
Pr Cu Bi
2 1 1
direct
0.000 0.000 0.234
0.000 0.000 0.766
0.500 0.500 0.000
0.500 0.500 0.500
```


Entry 5:
Starting from DFT lattice parameters and positions (GGA-PBE), the powder diffractogram of Cu2Bi2Pt was calculated for Cu Kα (λ = 1.5418 Å).
No peak broadening, texture or thermal motion is included.

Principal peaks in the range 10° ≤ 2θ ≤ 90°, low angle first:
| d (Å) | 2theta | I (rel.) |
| --- | --- | --- |
| 3.132 | 28.50 | 26 |
| 3.097 | 28.83 | 22 |
| 2.638 | 33.98 | 72 |
| 2.465 | 36.44 | 100 |
| 2.448 | 36.71 | 18 |
| 2.190 | 41.22 | 45 |
| 2.037 | 44.48 | 25 |
| 1.680 | 54.65 | 12 |
| 1.553 | 59.54 | 21 |
| 1.515 | 61.17 | 19 |
| 1.491 | 62.25 | 27 |
| 1.288 | 73.51 | 12 |

Crystal structure
```
Cu2Bi2Pt
1.0
6.925 0.000 0.000
0.000 6.925 0.000
0.000 0.000 4.073
Cu Bi Pt
4 4 2
direct
0.129 0.371 0.000
0.371 0.871 0.000
0.629 0.129 0.000
0.871 0.629 0.000
0.177 0.677 0.500
0.323 0.177 0.500
0.677 0.823 0.500
0.823 0.323 0.500
0.000 0.000 0.000
0.500 0.500 0.000
```


Entry 6:
Starting from DFT lattice parameters and positions (GGA-PBE), the powder diffractogram of Pu4Cu3Bi8 was calculated for Cu Kα (λ = 1.5418 Å).
No peak broadening, texture or thermal motion is included.

Principal peaks in the range 10° ≤ 2θ ≤ 90°, low angle first:
| d (Å) | 2theta | I (rel.) |
| --- | --- | --- |
| 3.104 | 28.76 | 23 |
| 3.037 | 29.41 | 35 |
| 2.644 | 33.90 | 100 |
| 2.563 | 35.01 | 12 |
| 2.271 | 39.68 | 47 |
| 1.833 | 49.74 | 21 |
| 1.723 | 53.15 | 10 |
| 1.626 | 56.61 | 9 |
| 1.611 | 57.17 | 11 |
| 1.606 | 57.37 | 16 |
| 1.426 | 65.43 | 10 |
| 1.373 | 68.33 | 37 |

Crystal structure
```
Pu4Cu3Bi8
1.0
4.543 0.000 0.000
0.000 4.543 0.000
0.000 0.000 18.624
Pu Cu Bi
4 3 8
direct
0.000 0.500 0.111
0.000 0.500 0.616
0.500 0.000 0.384
0.500 0.000 0.889
0.000 0.000 0.000
0.000 0.000 0.500
0.500 0.500 0.500
0.000 0.000 0.246
0.000 0.000 0.754
0.000 0.500 0.412
0.000 0.500 0.920
0.500 0.000 0.080
0.500 0.000 0.588
0.500 0.500 0.247
0.500 0.500 0.753
```


Entry 7:
Starting from DFT lattice parameters and positions (GGA-PBE), the powder diffractogram of RbCuBi2Se4 was calculated for Cu Kα (λ = 1.5418 Å).
No peak broadening, texture or thermal motion is included.

Principal peaks in the range 10° ≤ 2θ ≤ 90°, low angle first:
| d (Å) | 2theta | I (rel.) |
| --- | --- | --- |
| 7.534 | 11.75 | 32 |
| 6.572 | 13.47 | 52 |
| 4.139 | 21.47 | 50 |
| 3.348 | 26.63 | 24 |
| 3.197 | 27.91 | 35 |
| 3.127 | 28.54 | 62 |
| 2.943 | 30.37 | 100 |
| 2.786 | 32.13 | 43 |
| 2.422 | 37.12 | 43 |
| 2.192 | 41.19 | 44 |
| 2.169 | 41.63 | 65 |
| 2.119 | 42.66 | 38 |

Crystal structure
```
RbCuBi2Se4
1.0
2.119 -7.304 0.000
2.119 7.304 0.000
0.000 0.000 15.068
Rb Cu Bi Se
2 2 4 8
direct
0.107 0.893 0.750
0.893 0.107 0.250
0.156 0.844 0.250
0.844 0.156 0.750
0.365 0.635 0.559
0.365 0.635 0.941
0.635 0.365 0.059
0.635 0.365 0.441
0.000 0.000 0.000
0.000 0.000 0.500
0.261 0.739 0.111
0.261 0.739 0.389
0.422 0.578 0.750
0.578 0.422 0.250
0.739 0.261 0.611
0.739 0.261 0.889
```


Entry 8:
Starting from DFT lattice parameters and positions (GGA-PBE), the powder diffractogram of CuBi5S8 was calculated for Cu Kα (λ = 1.5418 Å).
No peak broadening, texture or thermal motion is included.

Principal peaks in the range 10° ≤ 2θ ≤ 90°, low angle first:
| d (Å) | 2theta | I (rel.) |
| --- | --- | --- |
| 6.645 | 13.32 | 22 |
| 4.069 | 21.84 | 16 |
| 3.470 | 25.67 | 100 |
| 3.322 | 26.83 | 26 |
| 2.877 | 31.08 | 28 |
| 2.215 | 40.74 | 45 |
| 2.035 | 44.53 | 57 |
| 1.755 | 52.11 | 14 |
| 1.498 | 61.93 | 27 |
| 1.329 | 70.92 | 14 |
| 1.175 | 82.04 | 19 |
| 1.113 | 87.72 | 14 |

Crystal structure
```
CuBi5S8
1.0
0.000 5.754 5.754
5.754 0.000 5.754
5.754 5.754 0.000
Cu Bi S
1 5 8
direct
0.000 0.000 0.000
0.108 0.631 0.631
0.250 0.250 0.250
0.631 0.108 0.631
0.631 0.631 0.108
0.631 0.631 0.631
0.366 0.878 0.878
0.384 0.384 0.384
0.384 0.384 0.847
0.384 0.847 0.384
0.847 0.384 0.384
0.878 0.366 0.878
0.878 0.878 0.366
0.878 0.878 0.878
```


Which formula does entry 5 have? Cu2Bi2Pt